# Pu5Pd2Pt2
Computed X-ray powder pattern, a wavelength of 1.5418 Å. Input: a cell relaxed with GGA-PBE.

The 6 most intense peaks (2θ from 10° to 80°), by intensity:
(3 1 2), 32.04 deg, rel. 1000; (1 3 1), 37.80 deg, rel. 984; (4 2 1), 35.97 deg, rel. 771; (4 2 0), 33.95 deg, rel. 763; (0 2 2), 33.23 deg, rel. 332; (7 3 3), 68.91 deg, rel. 261

Cell and atoms:
```
data_Pu5Pd2Pt2
_chemical_formula_sum 'Pu20 Pd8 Pt8'
_space_group_name_H-M_alt 'C m c e'
_space_group_IT_number 64
_space_group_name_Hall '-C 2ac 2'
_cell_length_a 14.6404
_cell_length_b 7.6390
_cell_length_c 7.6143
_cell_angle_alpha 90.00
_cell_angle_beta 90.00
_cell_angle_gamma 90.00
loop_
_atom_site_label
_atom_site_type_symbol
_atom_site_fract_x
_atom_site_fract_y
_atom_site_fract_z
Pu1 Pu 0.0000 0.0000 0.0000
Pu2 Pu 0.1377 0.1762 0.3302
Pd1 Pd 0.2090 0.0000 0.0000
Pt1 Pt 0.0000 0.1286 0.6296
```